[1]
The following is a simulated powder X-ray diffraction pattern of YAlFe. It was derived from the PBE geometry in Alexandria, using Cu Kα.
Neutral-atom scattering factors, no anomalous dispersion.

Crystal structure
```
3
Lattice="4.3212 0.0000 0.0000 -2.1606 3.7423 0.0000 0.0000 0.0000 3.6866" Properties=species:S:1:pos:R:3 pbc="T T T"
Y 0.0000 0.0000 0.0000
Al 0.0000 2.4948 1.8433
Fe 2.1606 1.2474 1.8433
```

Principal peaks in the range 2θ = 15–90°, in order of rising 2θ:
23.8 deg, I = 208
34.1 deg, I = 1000
41.8 deg, I = 468
55.0 deg, I = 241
66.7 deg, I = 219
71.4 deg, I = 212

---

[2]
The following is a simulated powder X-ray diffraction pattern of AcLaNd4. It was derived from the PBE geometry in Alexandria, using Cu Kα.
Neutral-atom scattering factors, no anomalous dispersion.

Crystal structure
```
12
Lattice="3.3942 -6.0027 0.0000 3.3942 6.0027 0.0000 0.0000 0.0000 11.0124" Properties=species:S:1:pos:R:3 pbc="T T T"
Ac 0.0000 0.0000 0.0000
Ac 0.0000 0.0000 5.5062
La 3.3942 3.7531 8.2593
La 3.3942 -3.7531 2.7531
Nd 1.8222 0.9716 8.2593
Nd 3.3942 2.0611 0.7945
Nd 3.3942 2.0611 4.7117
Nd 1.8222 -0.9716 2.7531
Nd 4.9662 0.9716 8.2593
Nd 3.3942 -2.0611 6.3008
Nd 3.3942 -2.0611 10.2179
Nd 4.9662 -0.9716 2.7531
```

Principal peaks in the range 2θ = 15–90°, in order of rising 2θ:
25.8 deg, I = 399
28.6 deg, I = 662
30.6 deg, I = 1000
30.9 deg, I = 982
31.3 deg, I = 664
34.4 deg, I = 355

---

[3]
The following is a simulated powder X-ray diffraction pattern of BaCdBiF. It was derived from the PBE geometry in Alexandria, using Cu Kα.
Neutral-atom scattering factors, no anomalous dispersion.

Crystal structure
```
8
Lattice="4.7285 0.0000 0.0000 0.0000 4.7285 0.0000 0.0000 0.0000 10.0008" Properties=species:S:1:pos:R:3 pbc="T T T"
Ba 1.1821 1.1821 1.3780
Ba 3.5464 3.5464 8.6228
Cd 1.1821 3.5464 5.0004
Cd 3.5464 1.1821 5.0004
Bi 1.1821 1.1821 6.9180
Bi 3.5464 3.5464 3.0828
F 1.1821 3.5464 0.0000
F 3.5464 1.1821 0.0000
```

Principal peaks in the range 2θ = 15–90°, in order of rising 2θ:
25.9 deg, I = 1000
26.7 deg, I = 265
32.2 deg, I = 773
38.1 deg, I = 716
45.3 deg, I = 264
46.6 deg, I = 415

---

[4]
The following is a simulated powder X-ray diffraction pattern of Sr2MgAlTe5. It was derived from the PBE geometry in Alexandria, using Cu Kα.
Neutral-atom scattering factors, no anomalous dispersion.

Crystal structure
```
18
Lattice="2.1608 -10.0920 0.0000 2.1608 10.0920 0.0000 0.0000 0.0000 13.4858" Properties=species:S:1:pos:R:3 pbc="T T T"
Sr 2.1608 7.6682 6.7429
Sr 2.1608 7.6487 11.7424
Sr 2.1608 -7.6487 4.9995
Sr 2.1608 -7.6682 0.0000
Mg 2.1608 5.6988 2.8418
Mg 2.1608 -5.6988 9.5847
Al 2.1608 1.4829 8.3581
Al 2.1608 -1.4829 1.6152
Te 2.1608 8.9769 3.1592
Te 2.1608 4.1602 11.5479
Te 2.1608 3.9834 7.4444
Te 2.1608 2.8588 2.5338
Te 2.1608 0.1054 6.1607
Te 2.1608 -0.1054 12.9036
Te 2.1608 -2.8588 9.2767
Te 2.1608 -3.9834 0.7015
Te 2.1608 -4.1602 4.8050
Te 2.1608 -8.9769 9.9021
```

Principal peaks in the range 2θ = 15–90°, in order of rising 2θ:
26.6 deg, I = 361
27.3 deg, I = 483
27.9 deg, I = 586
29.0 deg, I = 1000
30.3 deg, I = 388
33.1 deg, I = 350

---

[5]
The following is a simulated powder X-ray diffraction pattern of DyScPdAu. It was derived from the PBE geometry in Alexandria, using Cu Kα.
Neutral-atom scattering factors, no anomalous dispersion.

Crystal structure
```
4
Lattice="4.5324 0.0000 0.0000 0.0000 1.7980 5.2731 0.0000 -1.7980 5.2731" Properties=species:S:1:pos:R:3 pbc="T T T"
Dy 0.0000 0.0000 0.0000
Sc 2.2662 0.0000 2.9278
Pd 2.2662 0.0000 5.8232
Au 0.0000 0.0000 7.6721
```

Principal peaks in the range 2θ = 15–90°, in order of rising 2θ:
19.6 deg, I = 350
32.9 deg, I = 1000
34.0 deg, I = 346
39.5 deg, I = 385
39.8 deg, I = 386
41.1 deg, I = 941

---

[6]
The following is a simulated powder X-ray diffraction pattern of HfZr2Be. It was derived from the PBE geometry in Alexandria, using Cu Kα.
Neutral-atom scattering factors, no anomalous dispersion.

Crystal structure
```
4
Lattice="4.2698 0.0000 0.0000 0.0000 4.2698 0.0000 0.0000 0.0000 4.2588" Properties=species:S:1:pos:R:3 pbc="T T T"
Hf 0.0000 0.0000 0.0000
Zr 0.0000 2.1349 2.1294
Zr 2.1349 0.0000 2.1294
Be 2.1349 2.1349 0.0000
```

Principal peaks in the range 2θ = 15–90°, in order of rising 2θ:
20.8 deg, I = 431
29.6 deg, I = 366
36.5 deg, I = 1000
42.3 deg, I = 328
61.5 deg, I = 323
73.6 deg, I = 251

---

[7]
The following is a simulated powder X-ray diffraction pattern of NaH3SO5. It was derived from the PBE geometry in Alexandria, using Cu Kα.
Neutral-atom scattering factors, no anomalous dispersion.

Crystal structure
```
20
Lattice="3.9454 -3.9091 0.0000 3.9454 3.9091 0.0000 -3.6067 0.0000 7.2774" Properties=species:S:1:pos:R:3 pbc="T T T"
Na 2.1420 3.6978 3.6387
Na 3.9454 -3.6978 0.0000
H 0.1056 2.3911 5.1882
H 1.4667 1.8849 5.7569
H 1.2576 0.3063 3.5993
H -0.5458 -0.3063 7.2380
H 1.9089 -2.3911 1.5496
H 3.2701 -1.8849 2.1182
S 3.2010 0.8779 1.8008
S 1.3977 -0.8779 5.4395
O 1.0014 2.7027 5.4592
O 2.0908 1.3509 2.6485
O 2.4343 0.2423 0.5478
O 4.0380 1.9727 1.3090
O 0.6309 -0.2423 4.1865
O 0.2874 -1.3509 6.2872
O 2.1739 0.2062 6.0527
O 3.9773 -0.2062 2.4140
O 2.8047 -2.7027 1.8205
O 2.2346 -1.9727 4.9477
```

Principal peaks in the range 2θ = 15–90°, in order of rising 2θ:
16.9 deg, I = 305
24.0 deg, I = 430
24.8 deg, I = 1000
25.2 deg, I = 813
25.9 deg, I = 862
32.3 deg, I = 347

---

[8]
The following is a simulated powder X-ray diffraction pattern of Li5ScPb6. It was derived from the PBE geometry in Alexandria, using Cu Kα.
Neutral-atom scattering factors, no anomalous dispersion.

Crystal structure
```
12
Lattice="5.0494 0.0000 0.0000 0.0000 7.1275 0.0000 -2.4823 0.0000 7.6665" Properties=species:S:1:pos:R:3 pbc="T T T"
Li 0.0000 0.0000 0.0000
Li 0.0293 0.0000 5.0038
Li 0.0387 3.5637 5.1783
Li 2.5284 3.5637 2.4882
Li 2.5378 0.0000 2.6627
Sc 0.0000 3.5637 0.0000
Pb 0.0073 1.7785 2.5946
Pb 0.0073 5.3489 2.5946
Pb 2.5247 1.6961 0.0000
Pb 2.5247 5.4314 0.0000
Pb 2.5598 1.7785 5.0719
Pb 2.5598 5.3489 5.0719
```

Principal peaks in the range 2θ = 15–90°, in order of rising 2θ:
24.7 deg, I = 660
24.9 deg, I = 650
25.0 deg, I = 638
35.1 deg, I = 344
35.4 deg, I = 671
35.5 deg, I = 1000